This entry pairs a crystal structure of KTl6In2 with its simulated powder diffraction line list. Radiation: Cu Kα, 1.54184 Å. Structure: the PBE geometry in Alexandria.

Structural model:
```
18
Lattice="6.236 -7.466 0.000 6.236 7.466 0.000 -1.969 0.000 6.195" Properties=species:S:1:pos:R:3 pbc="T T T"
K 4.760 5.981 4.646
K 5.744 -5.981 1.549
Tl 0.534 1.553 5.060
Tl 2.872 2.666 2.101
Tl 3.579 2.828 5.998
Tl 1.519 -1.553 1.962
Tl 5.940 2.828 3.295
Tl 1.887 -2.666 5.198
Tl 8.616 2.666 0.997
Tl 4.564 -2.828 2.900
Tl 8.985 1.553 4.233
Tl 6.924 -2.828 0.197
Tl 7.632 -2.666 4.095
Tl 9.970 -1.553 1.135
In 3.354 0.094 4.095
In 4.338 -0.094 0.997
In 6.166 0.094 5.198
In 7.150 -0.094 2.101
```

Largest 10 diffraction maxima, sorted by position, 2θ from 5° to 70°:
9.51°, rel. 237
27.90°, rel. 167
28.13°, rel. 183
28.99°, rel. 203
30.65°, rel. 342
30.85°, rel. 1000
31.55°, rel. 512
32.94°, rel. 622
33.85°, rel. 300
57.30°, rel. 231

***

This entry pairs a crystal structure of GaNi4Sn3 with its simulated powder diffraction line list. Radiation: Cu Kα, 1.54184 Å. Structure: the PBE geometry in Alexandria.

Structural model:
```
16
Lattice="5.016 0.000 0.000 0.000 8.567 0.000 0.000 0.000 6.544" Properties=species:S:1:pos:R:3 pbc="T T T"
Ga 0.000 0.000 0.000
Ga 2.508 4.283 3.272
Ni 0.000 2.253 0.561
Ni 0.000 6.313 0.561
Ni 1.245 0.000 4.423
Ni 1.263 4.283 1.151
Ni 2.508 2.030 3.833
Ni 2.508 6.537 3.833
Ni 3.753 4.283 1.151
Ni 3.771 0.000 4.423
Sn 0.000 2.083 3.115
Sn 0.000 4.283 5.342
Sn 0.000 6.483 3.115
Sn 2.508 0.000 2.069
Sn 2.508 2.200 6.387
Sn 2.508 6.367 6.387
```

Largest 10 diffraction maxima, sorted by position, 2θ from 5° to 70°:
30.66°, rel. 1000
34.36°, rel. 218
34.49°, rel. 487
35.81°, rel. 294
39.91°, rel. 244
42.20°, rel. 458
45.33°, rel. 232
45.57°, rel. 240
50.37°, rel. 338
50.56°, rel. 240

***

This entry pairs a crystal structure of Na2SrSiGe2 with its simulated powder diffraction line list. Radiation: Cu Kα, 1.54184 Å. Structure: the PBE geometry in Alexandria.

Structural model:
```
12
Lattice="4.423 0.000 0.000 0.000 8.665 0.000 0.000 0.000 7.691" Properties=species:S:1:pos:R:3 pbc="T T T"
Na 0.000 0.648 0.000
Na 0.000 8.018 3.845
Na 2.211 1.355 2.489
Na 2.211 7.310 6.334
Sr 2.211 3.780 7.572
Sr 2.211 4.886 3.726
Si 0.000 2.916 4.933
Si 0.000 5.750 1.087
Ge 0.000 3.317 2.164
Ge 0.000 5.348 6.009
Ge 2.211 1.545 5.389
Ge 2.211 7.121 1.543
```

Largest 10 diffraction maxima, sorted by position, 2θ from 5° to 70°:
10.21°, rel. 743
23.57°, rel. 261
25.39°, rel. 405
31.14°, rel. 868
32.54°, rel. 1000
33.13°, rel. 183
36.55°, rel. 287
37.18°, rel. 402
40.83°, rel. 479
59.68°, rel. 217

***

This entry pairs a crystal structure of MnNb2Pt3 with its simulated powder diffraction line list. Radiation: Cu Kα, 1.54184 Å. Structure: the PBE geometry in Alexandria.

Structural model:
```
12
Lattice="3.924 0.000 0.000 0.000 11.831 0.000 0.000 0.000 4.057" Properties=species:S:1:pos:R:3 pbc="T T T"
Mn 0.000 0.000 0.000
Mn 1.962 5.916 0.000
Nb 0.000 4.000 0.000
Nb 0.000 7.831 0.000
Nb 1.962 1.916 0.000
Nb 1.962 9.915 0.000
Pt 0.000 1.954 2.029
Pt 0.000 5.916 2.029
Pt 0.000 9.877 2.029
Pt 1.962 0.000 2.029
Pt 1.962 3.961 2.029
Pt 1.962 7.870 2.029
```

Largest 10 diffraction maxima, sorted by position, 2θ from 5° to 70°:
21.91°, rel. 169
32.18°, rel. 135
39.27°, rel. 1000
44.67°, rel. 174
46.03°, rel. 158
46.27°, rel. 157
56.12°, rel. 61
66.08°, rel. 107
66.27°, rel. 107
67.32°, rel. 101

***

This entry pairs a crystal structure of Ac2U3O9 with its simulated powder diffraction line list. Radiation: Cu Kα, 1.54184 Å. Structure: the PBE geometry in Alexandria.

Structural model:
```
14
Lattice="-1.952 1.952 14.377 1.952 -1.952 14.377 1.952 1.952 -14.377" Properties=species:S:1:pos:R:3 pbc="T T T"
Ac 0.000 0.000 5.490
Ac 0.000 0.000 23.263
U 0.000 0.000 0.000
U 0.000 0.000 11.693
U 0.000 0.000 17.061
O 1.952 0.000 1.377
O 1.952 0.000 4.080
O 1.952 0.000 10.296
O 1.952 0.000 13.000
O 0.000 1.952 1.310
O 0.000 1.952 3.948
O 0.000 1.952 7.188
O 0.000 1.952 10.429
O 0.000 1.952 13.067
```

Largest 10 diffraction maxima, sorted by position, 2θ from 5° to 70°:
6.15°, rel. 68
27.61°, rel. 1000
31.10°, rel. 118
32.42°, rel. 261
45.55°, rel. 286
46.51°, rel. 165
53.23°, rel. 113
54.95°, rel. 310
57.01°, rel. 96
67.89°, rel. 53

***

This entry pairs a crystal structure of Cd3Ag4 with its simulated powder diffraction line list. Radiation: Cu Kα, 1.54184 Å. Structure: the PBE geometry in Alexandria.

Structural model:
```
14
Lattice="3.059 0.000 0.000 0.000 4.143 0.000 0.000 0.000 21.175" Properties=species:S:1:pos:R:3 pbc="T T T"
Cd 0.000 0.000 0.000
Cd 0.000 0.000 3.081
Cd 0.000 0.000 18.094
Cd 1.529 2.071 7.506
Cd 1.529 2.071 10.587
Cd 1.529 2.071 13.668
Ag 0.000 0.000 6.043
Ag 0.000 0.000 9.062
Ag 0.000 0.000 12.113
Ag 0.000 0.000 15.132
Ag 1.529 2.071 1.526
Ag 1.529 2.071 4.545
Ag 1.529 2.071 16.630
Ag 1.529 2.071 19.649
```

Largest 7 diffraction maxima, sorted by position, 2θ from 5° to 70°:
36.51°, rel. 1000
36.79°, rel. 975
42.01°, rel. 665
43.70°, rel. 297
60.53°, rel. 107
61.29°, rel. 101
62.22°, rel. 391

***

This entry pairs a crystal structure of Tb3Pr6Ho2 with its simulated powder diffraction line list. Radiation: Cu Kα, 1.54184 Å. Structure: the PBE geometry in Alexandria.

Structural model:
```
11
Lattice="6.177 0.000 0.000 2.944 6.173 0.000 0.183 0.070 9.920" Properties=species:S:1:pos:R:3 pbc="T T T"
Tb 0.000 0.000 0.000
Tb 3.493 5.111 6.280
Tb 5.811 1.132 3.640
Pr 3.508 4.021 2.717
Pr 2.697 1.725 5.429
Pr 2.836 0.681 1.802
Pr 6.469 5.562 8.118
Pr 6.607 4.518 4.491
Pr 5.796 2.222 7.203
Ho 2.914 2.856 8.905
Ho 6.390 3.388 1.014
```

Largest 10 diffraction maxima, sorted by position, 2θ from 5° to 70°:
28.92°, rel. 627
30.39°, rel. 1000
31.27°, rel. 853
31.59°, rel. 842
31.75°, rel. 748
31.90°, rel. 761
41.83°, rel. 230
43.06°, rel. 208
48.07°, rel. 270
55.16°, rel. 357

***

This entry pairs a crystal structure of Li6Mg8Pd with its simulated powder diffraction line list. Radiation: Cu Kα, 1.54184 Å. Structure: the PBE geometry in Alexandria.

Structural model:
```
15
Lattice="4.239 2.448 5.242 -4.239 2.448 5.242 0.000 -4.895 5.242" Properties=species:S:1:pos:R:3 pbc="T T T"
Li -1.877 -0.236 6.451
Li -0.734 -1.743 9.276
Li 1.143 -1.508 6.451
Li -1.143 1.508 9.276
Li 0.734 1.743 6.451
Li 1.877 0.236 9.276
Mg -1.269 -3.225 6.696
Mg -3.428 -0.514 9.031
Mg 0.000 0.000 3.903
Mg -2.159 2.711 6.696
Mg 2.159 -2.711 9.031
Mg 0.000 0.000 11.824
Mg 3.428 0.514 6.696
Mg 1.269 3.225 9.031
Pd 0.000 0.000 0.000
```

Largest 10 diffraction maxima, sorted by position, 2θ from 5° to 70°:
13.31°, rel. 1000
16.52°, rel. 143
20.95°, rel. 178
25.70°, rel. 151
27.05°, rel. 327
33.39°, rel. 131
34.25°, rel. 148
36.72°, rel. 136
39.75°, rel. 362
57.48°, rel. 213

***

This entry pairs a crystal structure of Hg5H4I2 with its simulated powder diffraction line list. Radiation: Cu Kα, 1.54184 Å. Structure: the PBE geometry in Alexandria.

Structural model:
```
11
Lattice="5.083 0.000 0.000 -0.702 7.405 0.000 -0.327 -0.999 8.172" Properties=species:S:1:pos:R:3 pbc="T T T"
Hg 0.000 0.000 0.000
Hg 0.919 3.095 0.752
Hg 1.284 5.028 5.212
Hg 2.769 1.377 2.960
Hg 3.134 3.310 7.420
H 0.144 4.990 6.407
H 0.456 6.921 1.109
H 3.598 -0.516 7.063
H 3.909 1.415 1.765
I 0.947 1.297 4.923
I 3.106 5.108 3.249
```

Largest 10 diffraction maxima, sorted by position, 2θ from 5° to 70°:
17.18°, rel. 322
21.14°, rel. 463
25.34°, rel. 606
27.36°, rel. 1000
27.80°, rel. 757
29.50°, rel. 697
29.88°, rel. 377
31.50°, rel. 491
36.43°, rel. 350
43.09°, rel. 308

***

This entry pairs a crystal structure of Nb3Co3Os with its simulated powder diffraction line list. Radiation: Cu Kα, 1.54184 Å. Structure: the PBE geometry in Alexandria.

Structural model:
```
14
Lattice="2.020 -4.493 0.000 2.020 4.493 0.000 0.000 0.000 11.395" Properties=species:S:1:pos:R:3 pbc="T T T"
Nb 2.020 4.454 8.546
Nb 2.020 1.853 6.891
Nb 2.020 1.853 10.202
Nb 2.020 -1.853 1.193
Nb 2.020 -1.853 4.504
Nb 2.020 -4.454 2.849
Co 2.020 2.136 2.849
Co 2.020 0.761 1.079
Co 2.020 0.761 4.618
Co 2.020 -0.761 6.777
Co 2.020 -0.761 10.316
Co 2.020 -2.136 8.546
Os 0.000 0.000 0.000
Os 0.000 0.000 5.697
```

Largest 10 diffraction maxima, sorted by position, 2θ from 5° to 70°:
15.55°, rel. 210
25.25°, rel. 165
33.90°, rel. 248
37.38°, rel. 1000
40.01°, rel. 897
40.14°, rel. 181
44.58°, rel. 389
44.88°, rel. 435
59.78°, rel. 179
65.60°, rel. 219

***

This entry pairs a crystal structure of Pm4YEr8 with its simulated powder diffraction line list. Radiation: Cu Kα, 1.54184 Å. Structure: the PBE geometry in Alexandria.

Structural model:
```
13
Lattice="3.691 2.131 8.902 -3.691 2.131 8.902 0.000 -4.262 8.902" Properties=species:S:1:pos:R:3 pbc="T T T"
Pm 0.000 0.000 0.000
Pm -1.846 -1.066 8.902
Pm -1.846 1.066 17.805
Pm 0.000 2.131 8.902
Y 0.000 0.000 13.353
Er -2.077 -1.199 15.018
Er 0.000 0.000 5.815
Er 0.000 -2.398 11.688
Er -2.077 1.199 11.688
Er 2.077 -1.199 15.018
Er 0.000 2.398 15.018
Er 0.000 0.000 20.892
Er 2.077 1.199 11.688
```

Largest 10 diffraction maxima, sorted by position, 2θ from 5° to 70°:
28.11°, rel. 212
28.71°, rel. 112
30.12°, rel. 375
31.02°, rel. 1000
32.64°, rel. 541
39.01°, rel. 235
49.38°, rel. 310
52.98°, rel. 198
58.93°, rel. 278
59.46°, rel. 133

***

This entry pairs a crystal structure of V2CuH4 with its simulated powder diffraction line list. Radiation: Cu Kα, 1.54184 Å. Structure: the PBE geometry in Alexandria.

Structural model:
```
14
Lattice="3.782 -3.746 0.000 3.782 3.746 0.000 -3.778 0.000 3.823" Properties=species:S:1:pos:R:3 pbc="T T T"
V 0.000 0.000 0.000
V -1.889 0.000 1.911
V 1.891 1.873 0.000
V 0.002 -1.873 1.911
Cu 0.949 0.934 2.867
Cu 2.837 -0.934 0.956
H -1.935 0.028 3.758
H -0.046 -0.028 1.847
H 1.940 1.901 1.848
H 3.735 1.901 0.063
H 0.052 -1.901 3.759
H 1.846 -1.901 1.974
H 3.832 0.028 1.976
H 5.721 -0.028 0.065
```

Largest 10 diffraction maxima, sorted by position, 2θ from 5° to 70°:
33.33°, rel. 391
33.49°, rel. 385
33.68°, rel. 380
39.19°, rel. 1000
39.51°, rel. 979
39.80°, rel. 961
41.34°, rel. 783
63.28°, rel. 219
63.95°, rel. 419
64.57°, rel. 204